Diffraction record for AcAs2IrO8. The powder X-ray diffraction pattern is simulated, not measured: it uses DFT lattice parameters and positions (GGA-PBE) and Cu Kα.
Kinematic intensities with the Lorentz-polarization factor, no thermal factor.

Most intense lines, 5 to 70 degrees two-theta, by angle:
- 22.07°, I = 25.1
- 25.84°, I = 100.0
- 36.21°, I = 41.1
- 37.52°, I = 32.9
- 43.39°, I = 16.7
- 45.02°, I = 22.0
- 53.13°, I = 13.5
- 59.09°, I = 20.4
- 60.91°, I = 19.6
- 65.99°, I = 13.8

Structure:
Cell lengths 8.217, 8.217, 8.217 Å; angles 35.15, 35.15, 35.15 degrees
Element x y z (fractional)
Ac: 0.000 0.000 0.000
As: 0.245 0.245 0.245
As: 0.755 0.755 0.755
Ir: 0.500 0.500 0.500
O: 0.123 0.449 0.744
O: 0.256 0.551 0.877
O: 0.320 0.320 0.320
O: 0.449 0.744 0.123
O: 0.551 0.877 0.256
O: 0.680 0.680 0.680
O: 0.744 0.123 0.449
O: 0.877 0.256 0.551


Diffraction record for KAc3As4O12. The powder X-ray diffraction pattern is simulated, not measured: it uses DFT lattice parameters and positions (GGA-PBE) and Cu Kα.
Kinematic intensities with the Lorentz-polarization factor, no thermal factor.

Most intense lines, 5 to 70 degrees two-theta, by angle:
- 14.58°, I = 34.4
- 19.12°, I = 20.2
- 24.13°, I = 42.3
- 24.75°, I = 100.0
- 29.40°, I = 22.7
- 30.95°, I = 26.7
- 31.98°, I = 45.1
- 35.76°, I = 25.8
- 40.43°, I = 31.2
- 48.35°, I = 29.7

Structure:
Cell lengths 7.747, 7.747, 7.747 Å; angles 103.31, 103.31, 103.31 degrees
Element x y z (fractional)
K: 0.000 0.000 0.000
Ac: 0.000 0.557 0.443
Ac: 0.443 0.000 0.557
Ac: 0.557 0.443 0.000
As: 0.065 0.500 0.935
As: 0.500 0.500 0.500
As: 0.500 0.935 0.065
As: 0.935 0.065 0.500
O: 0.009 0.232 0.385
O: 0.081 0.919 0.500
O: 0.232 0.385 0.009
O: 0.339 0.661 0.500
O: 0.385 0.009 0.232
O: 0.500 0.081 0.919
O: 0.500 0.339 0.661
O: 0.615 0.768 0.991
O: 0.661 0.500 0.339
O: 0.768 0.991 0.615
O: 0.919 0.500 0.081
O: 0.991 0.615 0.768


Diffraction record for AcLaAsS. The powder X-ray diffraction pattern is simulated, not measured: it uses DFT lattice parameters and positions (GGA-PBE) and Cu Kα.
Kinematic intensities with the Lorentz-polarization factor, no thermal factor.

Most intense lines, 5 to 70 degrees two-theta, by angle:
- 25.00°, I = 39.1
- 25.20°, I = 12.9
- 29.00°, I = 100.0
- 41.35°, I = 38.4
- 41.61°, I = 37.4
- 49.04°, I = 13.7
- 51.29°, I = 20.5
- 60.10°, I = 12.7
- 67.91°, I = 17.7
- 68.28°, I = 17.1

Structure:
Cell lengths 4.367, 4.367, 21.206 Å; angles 90.00, 90.00, 120.00 degrees
Element x y z (fractional)
Ac: 0.000 0.000 0.000
Ac: 0.333 0.667 0.667
Ac: 0.667 0.333 0.333
La: 0.000 0.000 0.502
La: 0.333 0.667 0.168
La: 0.667 0.333 0.835
As: 0.000 0.000 0.754
As: 0.333 0.667 0.421
As: 0.667 0.333 0.088
S: 0.000 0.000 0.248
S: 0.333 0.667 0.914
S: 0.667 0.333 0.581